[1]
Structure and computed X-ray powder pattern of Y4Si5Ir9 (a PBE-relaxed structure; Cu Kα, 1.54184 Å).
No peak broadening, texture or thermal motion is included.

Top 10 peaks for 2θ from 10° to 90°, by intensity:
2θ (°)  Rel. int.  h k l
37.57  100  2 0 1
23.51  69  0 0 6
40.25  61  1 1 6
42.50  46  2 0 5
33.30  44  1 0 7
37.35  38  2 0 0
67.37  35  2 2 0
66.08  33  2 0 13
47.00  33  2 0 7
44.61  29  2 0 6

Crystal structure
Lattice parameters (Å, degrees): 5.5599 5.5599 22.7088 90.00 90.00 120.00
Space group P6_3/mmc (No. 194)
Inequivalent atoms, fractional coordinates:
Y1 0.3333 0.6667 0.0276
Y2 0.3333 0.6667 0.1738
Si1 0.0000 0.0000 0.0000
Si2 0.0000 0.0000 0.1673
Si3 0.3333 0.6667 0.6681
Ir1 0.1665 0.3329 0.7500
Ir2 0.1675 0.3350 0.5878

[2]
Structure and computed X-ray powder pattern of Y2Si3Ir3 (a PBE-relaxed structure; Cu Kα, 1.54184 Å).
No peak broadening, texture or thermal motion is included.

Top 10 peaks for 2θ from 10° to 90°, by intensity:
2θ (°)  Rel. int.  h k l
32.09  100  1 0 0
13.02  67  0 0 3
48.37  47  1 0 8
46.02  37  1 1 0
21.79  32  0 0 5
39.13  30  1 0 5
35.21  29  0 0 8
34.77  27  1 0 3
59.24  26  1 1 8
86.96  18  2 1 8

Crystal structure
Lattice parameters (Å, degrees): 2.7891 2.7891 20.3919 90.00 90.00 90.00
Space group P4/mmm (No. 123)
Inequivalent atoms, fractional coordinates:
Y1 0.0000 0.0000 0.2423
Si1 0.0000 0.0000 0.0000
Si2 0.0000 0.0000 0.3872
Ir1 0.0000 0.0000 0.1107
Ir2 0.0000 0.0000 0.5000

[3]
Structure and computed X-ray powder pattern of ZrSiIr (a PBE-relaxed structure; Cu Kα, 1.54184 Å).
No peak broadening, texture or thermal motion is included.

Top 10 peaks for 2θ from 10° to 90°, by intensity:
2θ (°)  Rel. int.  h k l
42.90  100  0 1 3
35.68  82  1 1 2
28.77  80  1 1 1
35.33  63  2 1 0
37.39  47  2 1 1
45.47  42  0 2 0
17.97  39  1 0 1
70.33  35  3 1 4
64.30  28  3 2 1
27.50  28  1 0 2

Crystal structure
Lattice parameters (Å, degrees): 6.5913 3.9895 7.4510 90.00 90.00 90.00
Space group Pnma (No. 62)
Inequivalent atoms, fractional coordinates:
Zr1 0.0186 0.2500 0.1821
Si1 0.2214 0.7500 0.3816
Ir1 0.1520 0.2500 0.5650

[4]
Structure and computed X-ray powder pattern of Sm5Ir2 (a PBE-relaxed structure; Cu Kα, 1.54184 Å).
No peak broadening, texture or thermal motion is included.

Top 10 peaks for 2θ from 10° to 90°, by intensity:
2θ (°)  Rel. int.  h k l
34.30  100  5 1 1
31.09  77  4 0 -2
30.61  69  5 1 0
19.42  68  1 1 1
34.98  54  4 2 0
32.27  50  2 2 1
39.59  47  1 1 -3
35.16  45  4 0 2
29.73  44  0 2 1
31.20  41  2 2 -1

Crystal structure
Lattice parameters (Å, degrees): 16.3996 6.6093 7.2771 90.00 96.94 90.00
Space group C2/c (No. 15)
Inequivalent atoms, fractional coordinates:
Sm1 0.0000 0.0677 0.2500
Sm2 0.0923 0.3853 0.9196
Sm3 0.2186 0.0666 0.3163
Ir1 0.1112 0.2119 0.5731

[5]
Structure and computed X-ray powder pattern of Sm5Ir3 (a PBE-relaxed structure; Cu Kα, 1.54184 Å).
No peak broadening, texture or thermal motion is included.

Top 10 peaks for 2θ from 10° to 90°, by intensity:
2θ (°)  Rel. int.  h k l
36.03  100  4 2 0
32.96  42  2 1 2
28.84  36  3 1 1
32.08  32  3 2 1
22.51  25  2 1 1
37.70  24  3 1 2
45.76  22  2 1 3
46.05  20  5 2 1
36.80  19  3 0 2
42.80  15  4 0 2

Crystal structure
Lattice parameters (Å, degrees): 11.1424 11.1424 6.4843 90.00 90.00 90.00
Space group P4/ncc (No. 130, origin choice 2)
Inequivalent atoms, fractional coordinates:
Sm1 0.0404 0.1620 0.1201
Sm2 0.2500 0.7500 0.0000
Ir1 0.0964 0.5964 0.7500
Ir2 0.2500 0.2500 0.3856

[6]
Structure and computed X-ray powder pattern of Sm3Ir (a PBE-relaxed structure; Cu Kα, 1.54184 Å).
No peak broadening, texture or thermal motion is included.

Top 10 peaks for 2θ from 10° to 90°, by intensity:
2θ (°)  Rel. int.  h k l
33.26  100  1 3 1
31.55  96  1 1 2
37.07  72  2 3 0
33.63  71  2 2 1
30.89  58  0 3 1
30.59  50  2 2 0
18.28  44  0 2 0
29.49  39  2 1 1
35.48  37  1 2 2
39.45  35  3 0 1

Crystal structure
Lattice parameters (Å, degrees): 7.3217 9.7059 6.4867 90.00 90.00 90.00
Space group Pnma (No. 62)
Inequivalent atoms, fractional coordinates:
Sm1 0.0359 0.2500 0.1408
Sm2 0.1760 0.0650 0.6722
Ir1 0.1187 0.7500 0.4430

[7]
Structure and computed X-ray powder pattern of Sm3Sn13Ir4 (a PBE-relaxed structure; Cu Kα, 1.54184 Å).
No peak broadening, texture or thermal motion is included.

Top 10 peaks for 2θ from 10° to 90°, by intensity:
2θ (°)  Rel. int.  h k l
32.94  100  3 2 0
45.31  43  4 2 2
34.22  38  3 2 1
36.66  36  4 0 0
41.18  27  4 2 0
18.10  25  2 0 0
62.88  24  6 2 2
57.99  17  5 3 2
31.61  16  2 2 2
54.58  14  4 3 3

Crystal structure
Lattice parameters (Å, degrees): 9.8042 9.8042 9.8042 90.00 90.00 90.00
Space group Pm-3n (No. 223)
Inequivalent atoms, fractional coordinates:
Sm1 0.0000 0.2500 0.5000
Sn1 0.0000 0.0000 0.0000
Sn2 0.0000 0.3060 0.1520
Ir1 0.2500 0.2500 0.2500

[8]
Structure and computed X-ray powder pattern of TbSmIr2 (a PBE-relaxed structure; Cu Kα, 1.54184 Å).
No peak broadening, texture or thermal motion is included.

Top 7 peaks for 2θ from 10° to 90°, by intensity:
2θ (°)  Rel. int.  h k l
36.57  100  2 2 0
65.84  36  4 2 2
52.68  18  4 0 0
89.11  17  6 2 0
77.73  11  4 4 0
25.64  1  2 0 0
59.48  1  4 2 0

Crystal structure
Lattice parameters (Å, degrees): 6.9497 6.9497 6.9497 90.00 90.00 90.00
Space group Fm-3m (No. 225)
Inequivalent atoms, fractional coordinates:
Tb1 0.0000 0.0000 0.0000
Sm1 0.0000 0.0000 0.5000
Ir1 0.2500 0.2500 0.2500